# 1
# LiTi2Cl8
Theoretical X-ray powder pattern, λ = 1.5418 Å (Cu Kα). Input: the GGA-PBE geometry in Alexandria.

Structural model:
```
LiTi2Cl8
1.0
7.318 0.000 0.000
-3.659 6.338 0.000
0.000 0.000 8.024
Li Ti Cl
1 2 8
Direct
0.000 0.000 0.000
0.333 0.667 0.286
0.667 0.333 0.714
0.167 0.333 0.195
0.167 0.833 0.195
0.333 0.167 0.805
0.333 0.667 0.560
0.667 0.333 0.440
0.667 0.833 0.195
0.833 0.167 0.805
0.833 0.667 0.805
```

Most intense lines, 2θ from 5° to 70°, in order of rising 2θ:
17.83°, I = 100
22.16°, I = 21
26.78°, I = 24
28.16°, I = 31
30.33°, I = 21
36.12°, I = 20
36.46°, I = 21
39.25°, I = 23
49.84°, I = 23
54.11°, I = 22

***

# 2
# Li2Tl2Cl7
Theoretical X-ray powder pattern, λ = 1.5418 Å (Cu Kα). Input: the GGA-PBE geometry in Alexandria.

Structural model:
```
Li2Tl2Cl7
1.0
7.091 0.000 0.000
0.000 13.397 0.000
-1.924 0.000 7.218
Li Tl Cl
4 4 14
Direct
0.212 0.197 0.322
0.212 0.303 0.822
0.788 0.697 0.178
0.788 0.803 0.678
0.311 0.604 0.693
0.311 0.896 0.193
0.689 0.104 0.807
0.689 0.396 0.307
0.006 0.705 0.519
0.006 0.795 0.019
0.202 0.021 0.401
0.202 0.479 0.901
0.446 0.240 0.645
0.446 0.260 0.145
0.500 0.000 0.000
0.500 0.500 0.500
0.554 0.740 0.855
0.554 0.760 0.355
0.798 0.521 0.099
0.798 0.979 0.599
0.994 0.205 0.981
0.994 0.295 0.481
```

Most intense lines, 2θ from 5° to 70°, in order of rising 2θ:
14.52°, I = 41
16.74°, I = 56
18.07°, I = 100
20.32°, I = 51
21.11°, I = 87
23.78°, I = 49
24.73°, I = 32
36.63°, I = 29
36.96°, I = 26
42.68°, I = 28

***

# 3
# Li2TlCl5
Theoretical X-ray powder pattern, λ = 1.5418 Å (Cu Kα). Input: the GGA-PBE geometry in Alexandria.

Structural model:
```
Li2TlCl5
1.0
5.810 -4.023 0.000
5.810 4.023 0.000
-3.424 0.000 5.428
Li Tl Cl
2 1 5
Direct
0.211 0.789 0.000
0.789 0.211 0.000
0.228 0.228 0.784
0.003 0.563 0.980
0.139 0.139 0.324
0.486 0.486 0.894
0.563 0.003 0.980
0.980 0.980 0.709
```

Most intense lines, 2θ from 5° to 70°, in order of rising 2θ:
14.23°, I = 100
16.33°, I = 55
16.67°, I = 25
17.68°, I = 54
18.05°, I = 21
22.09°, I = 21
27.60°, I = 20
30.92°, I = 23
31.18°, I = 27
40.63°, I = 17

***

# 4
# LiTlCl2
Theoretical X-ray powder pattern, λ = 1.5418 Å (Cu Kα). Input: the GGA-PBE geometry in Alexandria.

Structural model:
```
LiTlCl2
1.0
6.503 0.000 0.000
0.000 10.665 0.000
0.000 0.000 6.443
Li Tl Cl
4 4 8
Direct
0.057 0.125 0.000
0.443 0.625 0.500
0.557 0.375 0.000
0.943 0.875 0.500
0.010 0.625 0.947
0.490 0.125 0.447
0.510 0.875 0.947
0.990 0.375 0.447
0.016 0.082 0.364
0.087 0.669 0.437
0.413 0.169 0.937
0.484 0.582 0.864
0.516 0.418 0.364
0.587 0.831 0.437
0.913 0.331 0.937
0.984 0.918 0.864
```

Most intense lines, 2θ from 5° to 70°, in order of rising 2θ:
15.96°, I = 93
16.07°, I = 93
25.65°, I = 98
27.43°, I = 61
27.69°, I = 62
28.65°, I = 100
31.95°, I = 48
32.12°, I = 48
39.37°, I = 40
40.25°, I = 40

***

Please write out number 4 again, unchanged.
# LiTlCl2
Theoretical X-ray powder pattern, λ = 1.5418 Å (Cu Kα). Input: the GGA-PBE geometry in Alexandria.

Structural model:
```
LiTlCl2
1.0
6.503 0.000 0.000
0.000 10.665 0.000
0.000 0.000 6.443
Li Tl Cl
4 4 8
Direct
0.057 0.125 0.000
0.443 0.625 0.500
0.557 0.375 0.000
0.943 0.875 0.500
0.010 0.625 0.947
0.490 0.125 0.447
0.510 0.875 0.947
0.990 0.375 0.447
0.016 0.082 0.364
0.087 0.669 0.437
0.413 0.169 0.937
0.484 0.582 0.864
0.516 0.418 0.364
0.587 0.831 0.437
0.913 0.331 0.937
0.984 0.918 0.864
```

Most intense lines, 2θ from 5° to 70°, in order of rising 2θ:
15.96°, I = 93
16.07°, I = 93
25.65°, I = 98
27.43°, I = 61
27.69°, I = 62
28.65°, I = 100
31.95°, I = 48
32.12°, I = 48
39.37°, I = 40
40.25°, I = 40